Record 1
This entry pairs a crystal structure of Nb4Pb2CN with its simulated X-ray diffraction stick pattern. Radiation: Cu Kα, 1.54184 Å. Structure: a cell relaxed with PBE.
Kinematic intensities with the Lorentz-polarization factor, no thermal factor.

Structural model:
abc: 3.3167 3.3167 14.0145
angles: 90.00 90.00 120.00
Element x y z (fractional)
Nb  0.3333  0.6667  0.0800
Nb  0.3333  0.6667  0.4236
Nb  0.6667  0.3333  0.5764
Nb  0.6667  0.3333  0.9200
Pb  0.3333  0.6667  0.7481
Pb  0.6667  0.3333  0.2519
C  0.0000  0.0000  0.0000
N  0.0000  0.0000  0.5000

Peak list (10 most intense, 2θ from 15° to 90°, by angle)
2θ (°), I (rel.)
25.4, 7
31.1, 23
31.8, 12
36.7, 100
38.5, 18
50.4, 15
55.4, 21
68.3, 16
68.5, 15
69.5, 19



Record 2
This entry pairs a crystal structure of K5H2Pd2I10O30 with its simulated X-ray diffraction stick pattern. Radiation: Cu Kα, 1.54184 Å. Structure: a cell relaxed with PBE.
Kinematic intensities with the Lorentz-polarization factor, no thermal factor.

Structural model:
abc: 8.0979 8.0979 12.7803
angles: 107.26 107.26 91.10
Element x y z (fractional)
K  0.0000  0.0000  0.0000
K  0.0000  0.5000  0.0000
K  0.2611  0.7389  0.5000
K  0.5000  0.0000  0.0000
K  0.7389  0.2611  0.5000
H  0.4554  0.4554  0.5405
H  0.5446  0.5446  0.4595
Pd  0.4047  0.4047  0.8800
Pd  0.5953  0.5953  0.1200
I  0.0901  0.0901  0.7260
I  0.1193  0.6267  0.7458
I  0.2413  0.2413  0.5367
I  0.3606  0.3606  0.2235
I  0.3733  0.8807  0.2542
I  0.6267  0.1193  0.7458
I  0.6394  0.6394  0.7765
I  0.7587  0.7587  0.4633
I  0.8807  0.3733  0.2542
I  0.9099  0.9099  0.2740
O  0.0352  0.2729  0.4410
O  0.0417  0.2734  0.6630
O  0.1221  0.3582  0.1710
O  0.1352  0.8332  0.1820
O  0.1668  0.8648  0.8180
O  0.2198  0.2198  0.8753
O  0.2260  0.5805  0.8822
O  0.2729  0.0352  0.4410
O  0.2734  0.0417  0.6630
O  0.2977  0.5892  0.6787
O  0.3582  0.1221  0.1710
O  0.3746  0.3746  0.4688
O  0.4036  0.4036  0.0998
O  0.4108  0.7023  0.3213
O  0.4195  0.7740  0.1178
O  0.5805  0.2260  0.8822
O  0.5892  0.2977  0.6787
O  0.5964  0.5964  0.9002
O  0.6254  0.6254  0.5312
O  0.6418  0.8779  0.8290
O  0.7023  0.4108  0.3213
O  0.7266  0.9583  0.3370
O  0.7271  0.9648  0.5590
O  0.7740  0.4195  0.1178
O  0.7802  0.7802  0.1247
O  0.8332  0.1352  0.1820
O  0.8648  0.1668  0.8180
O  0.8779  0.6418  0.8290
O  0.9583  0.7266  0.3370
O  0.9648  0.7271  0.5590

Peak list (10 most intense, 2θ from 15° to 90°, by angle)
2θ (°), I (rel.)
15.3, 47
22.0, 19
26.7, 94
27.1, 100
30.9, 48
31.6, 27
44.3, 21
44.8, 32
52.5, 15
52.7, 15



Record 3
This entry pairs a crystal structure of Pr2NiSn4Pt with its simulated X-ray diffraction stick pattern. Radiation: Cu Kα, 1.54184 Å. Structure: a cell relaxed with PBE.
Kinematic intensities with the Lorentz-polarization factor, no thermal factor.

Structural model:
abc: 4.5381 4.5560 9.6358
angles: 90.00 101.66 90.00
Element x y z (fractional)
Pr  0.0000  0.0000  0.0000
Pr  0.3019  0.5000  0.4487
Ni  0.8308  0.0000  0.5793
Sn  0.3918  0.0000  0.7159
Sn  0.5186  0.5000  0.1488
Sn  0.7880  0.0000  0.3148
Sn  0.9074  0.5000  0.7137
Pt  0.4798  0.5000  0.8740

Peak list (10 most intense, 2θ from 15° to 90°, by angle)
2θ (°), I (rel.)
28.0, 49
30.9, 100
31.3, 52
31.6, 63
34.7, 61
39.6, 64
39.7, 43
43.2, 42
51.3, 26
57.3, 31



Record 4
This entry pairs a crystal structure of KCuTePbSe2 with its simulated X-ray diffraction stick pattern. Radiation: Cu Kα, 1.54184 Å. Structure: a cell relaxed with PBE.
Kinematic intensities with the Lorentz-polarization factor, no thermal factor.

Structural model:
abc: 7.9992 7.9992 11.9195
angles: 90.00 90.00 150.80
Element x y z (fractional)
K  0.2396  0.7604  0.7500
K  0.7604  0.2396  0.2500
Cu  0.4532  0.5468  0.2500
Cu  0.5468  0.4532  0.7500
Te  0.0662  0.9338  0.2500
Te  0.9338  0.0662  0.7500
Pb  0.0000  0.0000  0.0000
Pb  0.0000  0.0000  0.5000
Se  0.3760  0.6240  0.0750
Se  0.3760  0.6240  0.4250
Se  0.6240  0.3760  0.5750
Se  0.6240  0.3760  0.9250

Peak list (10 most intense, 2θ from 15° to 90°, by angle)
2θ (°), I (rel.)
25.2, 43
28.1, 70
29.1, 98
30.0, 49
31.9, 88
32.2, 57
38.0, 100
39.7, 66
49.5, 51
60.3, 42



Record 5
This entry pairs a crystal structure of SrDyB with its simulated X-ray diffraction stick pattern. Radiation: Cu Kα, 1.54184 Å. Structure: a cell relaxed with PBE.
Kinematic intensities with the Lorentz-polarization factor, no thermal factor.

Structural model:
abc: 6.6867 6.6867 6.6867
angles: 90.00 90.00 90.00
Element x y z (fractional)
Sr  0.0000  0.0000  0.0000
Sr  0.0000  0.5000  0.5000
Sr  0.5000  0.0000  0.5000
Sr  0.5000  0.5000  0.0000
Dy  0.0000  0.0000  0.5000
Dy  0.0000  0.5000  0.0000
Dy  0.5000  0.0000  0.0000
Dy  0.5000  0.5000  0.5000
B  0.2500  0.2500  0.7500
B  0.2500  0.7500  0.2500
B  0.7500  0.2500  0.2500
B  0.7500  0.7500  0.7500

Peak list (10 most intense, 2θ from 15° to 90°, by angle)
2θ (°), I (rel.)
23.0, 17
26.7, 100
38.1, 89
45.0, 9
47.1, 29
54.9, 15
62.1, 38
68.8, 31
81.4, 10
87.5, 19